1.
CsXeF7: simulated powder diffractogram (a wavelength of 1.5418 Å), based on the PBE geometry in the Materials Project.
Intensities are scaled so that the largest is 100.

Top 6 peaks for 5° ≤ 2θ ≤ 70°, in order of rising 2θ:
2θ/deg, intensity
22.57, 100
24.75, 49
38.23, 51
40.98, 18
56.23, 19
65.29, 19

Structural model:
```
CsXeF7
1.0
8.8097 0.0000 0.0000
0.0000 8.8097 0.0000
0.0000 0.0000 8.8097
Cs Xe F
4 4 28
direct
0.1000 0.1000 0.1000 Cs
0.4000 0.9000 0.6000 Cs
0.6000 0.4000 0.9000 Cs
0.9000 0.6000 0.4000 Cs
0.0969 0.5969 0.9031 Xe
0.4031 0.4031 0.4031 Xe
0.5969 0.9031 0.0969 Xe
0.9031 0.0969 0.5969 Xe
0.0433 0.9567 0.4567 F
0.0854 0.8238 0.8484 F
0.1049 0.6962 0.1169 F
0.1169 0.1049 0.6962 F
0.1516 0.5854 0.6762 F
0.1762 0.3484 0.4146 F
0.1962 0.3831 0.8951 F
0.3038 0.6169 0.3951 F
0.3238 0.6516 0.9146 F
0.3484 0.4146 0.1762 F
0.3831 0.8951 0.1962 F
0.3951 0.3038 0.6169 F
0.4146 0.1762 0.3484 F
0.4567 0.0433 0.9567 F
0.5433 0.5433 0.5433 F
0.5854 0.6762 0.1516 F
0.6049 0.8038 0.8831 F
0.6169 0.3951 0.3038 F
0.6516 0.9146 0.3238 F
0.6762 0.1516 0.5854 F
0.6962 0.1169 0.1049 F
0.8038 0.8831 0.6049 F
0.8238 0.8484 0.0854 F
0.8484 0.0854 0.8238 F
0.8831 0.6049 0.8038 F
0.8951 0.1962 0.3831 F
0.9146 0.3238 0.6516 F
0.9567 0.4567 0.0433 F
```


2.
Cs3YF6: simulated powder diffractogram (a wavelength of 1.5418 Å), based on the PBE geometry in the Materials Project.
Intensities are scaled so that the largest is 100.

Top 6 peaks for 5° ≤ 2θ ≤ 70°, in order of rising 2θ:
2θ/deg, intensity
24.37, 83
24.62, 100
34.74, 24
35.47, 19
43.04, 54
43.50, 33

Structural model:
```
Cs3YF6
1.0
-3.6523 3.6523 5.0618
3.6523 -3.6523 5.0618
3.6523 3.6523 -5.0618
Cs Y F
3 1 6
direct
0.0000 0.0000 0.0000 Cs
0.2500 0.7500 0.5000 Cs
0.7500 0.2500 0.5000 Cs
0.5000 0.5000 0.0000 Y
0.2011 0.5000 0.7011 F
0.2791 0.2791 0.0000 F
0.5000 0.2011 0.7011 F
0.5000 0.7989 0.2989 F
0.7209 0.7209 0.0000 F
0.7989 0.5000 0.2989 F
```


3.
Cs3YF6: simulated powder diffractogram (a wavelength of 1.5418 Å), based on the PBE geometry in the Materials Project.
Intensities are scaled so that the largest is 100.

Top 6 peaks for 5° ≤ 2θ ≤ 70°, in order of rising 2θ:
2θ/deg, intensity
24.98, 100
35.62, 34
44.00, 41
51.26, 22
57.84, 21
69.80, 23

Structural model:
```
Cs3YF6
1.0
0.0000 5.0413 5.0413
5.0413 0.0000 5.0413
5.0413 5.0413 0.0000
Cs Y F
3 1 6
direct
0.0000 0.0000 0.0000 Cs
0.2500 0.2500 0.2500 Cs
0.7500 0.7500 0.7500 Cs
0.5000 0.5000 0.5000 Y
0.2825 0.2825 0.7175 F
0.2825 0.7175 0.2825 F
0.2825 0.7175 0.7175 F
0.7175 0.2825 0.2825 F
0.7175 0.2825 0.7175 F
0.7175 0.7175 0.2825 F
```


4.
Cs4Zn3F10: simulated powder diffractogram (a wavelength of 1.5418 Å), based on the PBE geometry in the Materials Project.
Intensities are scaled so that the largest is 100.

Top 6 peaks for 5° ≤ 2θ ≤ 70°, in order of rising 2θ:
2θ/deg, intensity
25.19, 28
26.21, 100
28.21, 42
29.84, 24
38.17, 35
45.00, 18

Structural model:
```
Cs4Zn3F10
1.0
3.1638 -7.3598 0.0000
3.1638 7.3598 0.0000
0.0000 0.0000 14.1410
Cs Zn F
8 6 20
direct
0.0442 0.9558 0.8612 Cs
0.2448 0.7552 0.6100 Cs
0.2552 0.7448 0.1100 Cs
0.4558 0.5442 0.3612 Cs
0.5442 0.4558 0.6388 Cs
0.7448 0.2552 0.8900 Cs
0.7552 0.2448 0.3900 Cs
0.9558 0.0442 0.1388 Cs
0.0000 0.0000 0.5000 Zn
0.1210 0.8790 0.3443 Zn
0.3790 0.6210 0.8443 Zn
0.5000 0.5000 0.0000 Zn
0.6210 0.3790 0.1557 Zn
0.8790 0.1210 0.6557 Zn
0.0254 0.9746 0.6448 F
0.1141 0.3139 0.5377 F
0.1380 0.3620 0.7500 F
0.1861 0.3859 0.9623 F
0.2458 0.7542 0.8496 F
0.2542 0.7458 0.3496 F
0.3139 0.1141 0.4623 F
0.3620 0.1380 0.2500 F
0.3859 0.1861 0.0377 F
0.4746 0.5254 0.1448 F
0.5254 0.4746 0.8552 F
0.6141 0.8139 0.9623 F
0.6380 0.8620 0.7500 F
0.6861 0.8859 0.5377 F
0.7458 0.2542 0.6504 F
0.7542 0.2458 0.1504 F
0.8139 0.6141 0.0377 F
0.8620 0.6380 0.2500 F
0.8859 0.6861 0.4623 F
0.9746 0.0254 0.3552 F
```


5.
Cs2ZrF6: simulated powder diffractogram (a wavelength of 1.5418 Å), based on the PBE geometry in the Materials Project.
Intensities are scaled so that the largest is 100.

Top 6 peaks for 5° ≤ 2θ ≤ 70°, in order of rising 2θ:
2θ/deg, intensity
23.39, 100
27.35, 61
36.29, 64
38.46, 25
46.03, 27
55.98, 23

Structural model:
```
Cs2ZrF6
1.0
6.5223 0.0000 0.0000
-3.2611 5.6485 0.0000
0.0000 0.0000 5.1438
Cs Zr F
2 1 6
direct
0.3333 0.6667 0.1915 Cs
0.6667 0.3333 0.8085 Cs
0.0000 0.0000 0.5000 Zr
0.1513 0.3027 0.7196 F
0.1513 0.8487 0.7196 F
0.3027 0.1513 0.2804 F
0.6973 0.8487 0.7196 F
0.8487 0.1513 0.2804 F
0.8487 0.6973 0.2804 F
```


6.
CsFeI4: simulated powder diffractogram (a wavelength of 1.5418 Å), based on the PBE geometry in the Materials Project.
Intensities are scaled so that the largest is 100.

Top 6 peaks for 5° ≤ 2θ ≤ 70°, in order of rising 2θ:
2θ/deg, intensity
24.76, 44
25.20, 33
25.58, 37
25.79, 41
26.53, 100
28.47, 32

Structural model:
```
CsFeI4
1.0
7.5545 0.0000 0.0000
0.0000 19.0012 0.0000
-2.6485 0.0000 8.2439
Cs Fe I
4 4 16
direct
0.1813 0.1330 0.2965 Cs
0.1813 0.3670 0.7965 Cs
0.8187 0.6330 0.2035 Cs
0.8187 0.8670 0.7035 Cs
0.1882 0.6271 0.7950 Fe
0.1882 0.8729 0.2950 Fe
0.8118 0.1271 0.7050 Fe
0.8118 0.3729 0.2050 Fe
0.1641 0.1515 0.7955 I
0.1641 0.3485 0.2955 I
0.2715 0.5555 0.5777 I
0.2715 0.9445 0.0777 I
0.2722 0.5564 0.0608 I
0.2722 0.9436 0.5608 I
0.3612 0.7438 0.8456 I
0.3612 0.7562 0.3456 I
0.6388 0.2438 0.6544 I
0.6388 0.2562 0.1544 I
0.7278 0.0564 0.4392 I
0.7278 0.4436 0.9392 I
0.7285 0.0555 0.9223 I
0.7285 0.4445 0.4223 I
0.8359 0.6515 0.7045 I
0.8359 0.8485 0.2045 I
```


7.
CsMg14Fe: simulated powder diffractogram (a wavelength of 1.5418 Å), based on the PBE geometry in the Materials Project.
Intensities are scaled so that the largest is 100.

Top 6 peaks for 5° ≤ 2θ ≤ 70°, in order of rising 2θ:
2θ/deg, intensity
15.85, 33
23.01, 28
32.01, 28
33.50, 24
36.25, 100
47.01, 19

Structural model:
```
CsMg14Fe
1.0
6.4571 0.0000 0.0000
-3.2285 5.5920 0.0000
0.0000 0.0000 10.6995
Cs Mg Fe
1 14 1
direct
0.0000 0.0000 0.0000 Cs
0.0066 0.5033 0.0000 Mg
0.1662 0.3323 0.2816 Mg
0.1662 0.3323 0.7184 Mg
0.1662 0.8338 0.2816 Mg
0.1662 0.8338 0.7184 Mg
0.4967 0.5033 0.0000 Mg
0.4967 0.9934 0.0000 Mg
0.5050 0.0100 0.5000 Mg
0.5050 0.4950 0.5000 Mg
0.6667 0.3333 0.2424 Mg
0.6667 0.3333 0.7576 Mg
0.6677 0.8338 0.2816 Mg
0.6677 0.8338 0.7184 Mg
0.9900 0.4950 0.5000 Mg
0.0000 0.0000 0.5000 Fe
```